(1)
The following is a simulated powder XRD pattern of KMg3AlSi3O11F. It was derived from a PBE-relaxed structure, using Cu Kα (λ = 1.5418 Å).

Cell and atoms:
a = 5.372 Å, b = 5.403 Å, c = 10.279 Å
α = 94.52°, β = 95.77°, γ = 119.77°
Space group P1 (No. 1)
One atom of each set of equivalent atoms:
K 0.000 0.000 0.000
Mg 0.177 0.836 0.527
Mg 0.510 0.510 0.528
Mg 0.843 0.178 0.530
Al 0.592 0.262 0.801
Si 0.266 0.601 0.806
Si 0.418 0.751 0.254
Si 0.752 0.418 0.254
O 0.064 0.567 0.195
O 0.147 0.145 0.435
O 0.213 0.550 0.641
O 0.441 0.941 0.866
O 0.450 0.461 0.866
O 0.474 0.801 0.414
O 0.538 0.205 0.625
O 0.563 0.564 0.195
O 0.567 0.066 0.197
O 0.811 0.473 0.414
O 0.961 0.452 0.863
F 0.869 0.866 0.626

Most intense lines, 2θ = 15–90°, in order of falling intensity:
hkl  two_theta  I (rel.)
0 0 3  26.44  100
-2 1 2  36.42  89
1 -2 1  33.73  88
0 1 -2  23.99  77
3 0 -1  59.48  73
-1 1 2  25.82  60
1 0 2  28.25  54
0 1 2  27.98  52
1 -1 2  26.18  51
-2 1 1  33.81  49
1 1 -1  33.27  46
1 -2 2  36.55  45

---

(2)
The following is a simulated powder XRD pattern of YAg2. It was derived from a PBE-relaxed structure, using Cu Kα (λ = 1.5418 Å).

Cell and atoms:
a = 3.767 Å, b = 3.767 Å, c = 9.251 Å
α = 90.00°, β = 90.00°, γ = 90.00°
Space group I4/mmm (No. 139)
One atom of each set of equivalent atoms:
Y 0.000 0.000 0.000
Ag 0.000 0.000 0.331

Most intense lines, 2θ = 15–90°, in order of falling intensity:
hkl  two_theta  I (rel.)
1 0 3  37.70  100
1 1 0  33.65  69
2 1 3  62.86  42
2 0 0  48.32  24
1 1 6  70.58  15
3 1 0  80.65  10
2 0 6  80.50  10
3 0 3  83.04  9
2 2 0  70.74  7
0 0 6  60.00  6
0 0 2  19.19  1
1 0 1  25.53  1

---

(3)
The following is a simulated powder XRD pattern of Pr2O3. It was derived from a PBE-relaxed structure, using Cu Kα (λ = 1.5418 Å).

Cell and atoms:
a = 3.8993 Å, b = 3.8993 Å, c = 6.1376 Å
α = 90.00°, β = 90.00°, γ = 120.00°
Space group P-3m1 (No. 164)
One atom of each set of equivalent atoms:
Pr 0.3333 0.6667 0.2487
O 0.0000 0.0000 0.0000
O 0.3333 0.6667 0.6446

Most intense lines, 2θ = 15–90°, in order of falling intensity:
hkl  two_theta  I (rel.)
0 1 1  30.21  100
1 1 0  46.58  33
1 0 0  26.39  28
1 0 3  52.28  28
0 0 2  29.10  28
1 1 2  55.87  27
0 1 2  39.69  26
2 0 1  56.53  18
1 2 1  76.19  15
0 2 3  72.60  10
1 1 4  79.49  9
0 1 5  83.86  8

---

(4)
The following is a simulated powder XRD pattern of Sr2ErTaO6. It was derived from a PBE-relaxed structure, using Cu Kα (λ = 1.5418 Å).

Cell and atoms:
a = 5.820 Å, b = 5.919 Å, c = 10.110 Å
α = 90.00°, β = 125.02°, γ = 90.00°
Space group P2_1/c (No. 14)
One atom of each set of equivalent atoms:
Sr 0.243 0.037 0.251
Er 0.500 0.000 0.000
Ta 0.000 0.000 0.500
O 0.154 0.227 0.956
O 0.235 0.699 0.961
O 0.314 0.023 0.736

Most intense lines, 2θ = 15–90°, in order of falling intensity:
hkl  two_theta  I (rel.)
1 1 1  30.50  100
1 1 -1  21.43  30
3 1 -5  54.48  28
2 2 -2  43.62  26
0 2 0  30.20  25
2 0 -2  30.72  24
1 3 -3  53.83  19
0 0 4  43.73  14
0 2 4  54.06  11
1 1 -7  72.13  9
3 3 -1  71.97  8
2 2 -4  49.13  8

---

(5)
The following is a simulated powder XRD pattern of PrC6N9. It was derived from a PBE-relaxed structure, using Cu Kα (λ = 1.5418 Å).

Cell and atoms:
a = 7.895 Å, b = 11.896 Å, c = 10.570 Å
α = 90.00°, β = 90.00°, γ = 90.00°
Space group Cmcm (No. 63)
One atom of each set of equivalent atoms:
Pr 0.000 0.214 0.250
C 0.143 0.087 0.750
C 0.144 0.354 0.551
N 0.000 0.031 0.750
N 0.000 0.343 0.008
N 0.221 0.138 0.098
N 0.225 0.368 0.250

Most intense lines, 2θ = 15–90°, in order of falling intensity:
hkl  two_theta  I (rel.)
1 1 1  15.87  100
1 3 1  26.53  31
1 1 3  28.74  28
3 1 1  35.96  27
1 1 2  21.57  23
0 0 2  16.78  20
1 3 2  30.37  18
2 2 3  37.40  15
0 4 1  31.24  13
2 0 0  22.51  13
2 2 2  32.05  13
2 0 2  28.22  11

---

(6)
The following is a simulated powder XRD pattern of Na2MgCuO2. It was derived from a PBE-relaxed structure, using Cu Kα (λ = 1.5418 Å).

Cell and atoms:
a = 3.109 Å, b = 4.569 Å, c = 11.413 Å
α = 90.00°, β = 90.00°, γ = 90.00°
Space group Immm (No. 71)
One atom of each set of equivalent atoms:
Na 0.000 0.000 0.231
Mg 0.000 0.000 0.500
Cu 0.000 0.000 0.000
O 0.000 0.500 0.124

Most intense lines, 2θ = 15–90°, in order of falling intensity:
hkl  two_theta  I (rel.)
1 1 4  47.62  100
1 1 0  34.91  54
0 2 0  39.45  48
0 0 2  15.53  38
1 0 1  29.79  37
0 0 4  31.35  32
0 1 5  44.36  20
1 3 4  77.38  19
0 2 4  51.23  17
0 1 3  30.58  16
1 1 2  38.41  15
1 2 1  50.20  15